For Na2Zr4As3P3O24, DFT lattice parameters and positions (PBE) gives the theoretical XRD peak list in this record (Cu Kα, 1.54184 Å).

Principal peaks in the range 2θ from 5° to 70°, low angle first:
2theta	I (rel.)
13.5	20
18.9	39
19.4	47
22.6	100
27.2	36
30.1	78
33.7	16
34.0	36
46.1	23
53.0	15

Atomic structure:
```
data_Na2Zr4As3P3O24
_chemical_formula_sum 'Na6 Zr12 As9 P9 O72'
_space_group_name_H-M_alt 'R 3 2'
_space_group_IT_number 155
_space_group_name_Hall 'R 3 2"'
_cell_length_a 9.1354
_cell_length_b 9.1354
_cell_length_c 23.3876
_cell_angle_alpha 90.00
_cell_angle_beta 90.00
_cell_angle_gamma 120.00
loop_
_atom_site_label
_atom_site_type_symbol
_atom_site_fract_x
_atom_site_fract_y
_atom_site_fract_z
_atom_site_occupancy
Na1 Na 0.0000 0.0000 0.2485 1
Zr1 Zr 0.0000 0.0000 0.1019 1
Zr2 Zr 0.0000 0.0000 0.3907 1
As1 As 0.0000 0.2894 0.5000 1
P1 P 0.0000 0.7099 0.0000 1
O1 O 0.0135 0.8159 0.9464 1
O2 O 0.0195 0.1966 0.4396 1
O3 O 0.0243 0.1819 0.1637 1
O4 O 0.0255 0.8267 0.6645 1
```